(1)
Simulated powder XRD pattern
Compound: TlBI3
Radiation: Cu Kα, 1.54184 Å
Structure: a structure optimized by DFT (GGA-PBE)

Principal peaks in the range 5° ≤ 2θ ≤ 70°, most intense first:
2θ (°), Rel. int.
26.24, 1000
28.11, 570
31.94, 538
27.87, 470
26.41, 425
22.28, 379
31.83, 369
31.17, 325
17.37, 311
28.62, 302

Structural model:
```
data_TlBI3
_chemical_formula_sum 'Tl4 B4 I12'
_space_group_name_H-M_alt 'P 1 21/c 1'
_space_group_IT_number 14
_cell_length_a 7.7518
_cell_length_b 8.5370
_cell_length_c 13.5707
_cell_angle_alpha 90.00
_cell_angle_beta 124.32
_cell_angle_gamma 90.00
loop_
_space_group_symop_operation_xyz
'x,y,z'
'-x,-y,-z'
'-x,y+1/2,-z+1/2'
'x,-y+1/2,z+1/2'
loop_
_atom_site_label
_atom_site_fract_x
_atom_site_fract_y
_atom_site_fract_z
_atom_site_occupancy
Tl1 0.2122 0.1020 0.2494 1
B1 0.0772 0.5771 0.0425 1
I1 0.1190 0.2215 0.9561 1
I2 0.2604 0.6833 0.9723 1
I3 0.3156 0.5081 0.2375 1
```

=====

(2)
Simulated powder XRD pattern
Compound: KLi2CrCl8
Radiation: Cu Kα, 1.54184 Å
Structure: a structure optimized by DFT (GGA-PBE)

Principal peaks in the range 5° ≤ 2θ ≤ 70°, most intense first:
2θ (°), Rel. int.
33.43, 1000
10.01, 904
30.23, 740
30.08, 737
21.84, 716
17.60, 709
20.10, 578
16.57, 514
42.49, 390
37.83, 380

Structural model:
```
data_KLi2CrCl8
_chemical_formula_sum 'K1 Li2 Cr1 Cl8'
_space_group_name_H-M_alt 'P -1'
_space_group_IT_number 2
_cell_length_a 5.3513
_cell_length_b 6.1365
_cell_length_c 8.8354
_cell_angle_alpha 89.93
_cell_angle_beta 89.59
_cell_angle_gamma 88.95
loop_
_space_group_symop_operation_xyz
'x,y,z'
'-x,-y,-z'
loop_
_atom_site_label
_atom_site_fract_x
_atom_site_fract_y
_atom_site_fract_z
_atom_site_occupancy
K1 0.0000 0.0000 0.0000 1
Li1 0.4994 0.4991 0.6924 1
Cr1 0.0000 0.0000 0.5000 1
Cl1 0.2342 0.3158 0.5004 1
Cl2 0.2424 0.8456 0.6898 1
Cl3 0.2457 0.8475 0.3088 1
Cl4 0.2546 0.4877 0.9997 1
```

=====

(3)
Simulated powder XRD pattern
Compound: Sr5Sb3H
Radiation: Cu Kα, 1.54184 Å
Structure: a structure optimized by DFT (GGA-PBE)

Principal peaks in the range 5° ≤ 2θ ≤ 70°, most intense first:
2θ (°), Rel. int.
28.71, 1000
31.47, 735
28.05, 277
58.41, 196
37.88, 173
59.89, 150
45.54, 125
45.12, 104
12.03, 96
40.11, 92

Structural model:
```
data_Sr5Sb3H
_chemical_formula_sum 'Sr20 Sb12 H4'
_space_group_name_H-M_alt 'I 4/m c m'
_space_group_IT_number 140
_space_group_name_Hall '-I 4 2c'
_cell_length_a 8.9865
_cell_length_b 8.9865
_cell_length_c 14.7198
_cell_angle_alpha 90.00
_cell_angle_beta 90.00
_cell_angle_gamma 90.00
loop_
_atom_site_label
_atom_site_fract_x
_atom_site_fract_y
_atom_site_fract_z
_atom_site_occupancy
Sr1 0.0000 0.0000 0.0000 1
Sr2 0.1511 0.3489 0.1414 1
Sb1 0.0000 0.0000 0.2500 1
Sb2 0.1536 0.3464 0.5000 1
H1 0.0000 0.5000 0.2500 1
```

=====

(4)
Simulated powder XRD pattern
Compound: Na4TlHg6
Radiation: Cu Kα, 1.54184 Å
Structure: a structure optimized by DFT (GGA-PBE)

Principal peaks in the range 5° ≤ 2θ ≤ 70°, most intense first:
2θ (°), Rel. int.
12.15, 1000
36.69, 833
22.58, 803
30.82, 734
29.65, 485
22.71, 417
35.52, 395
40.49, 378
41.39, 322
33.61, 291

Structural model:
```
data_Na4TlHg6
_chemical_formula_sum 'Na8 Tl2 Hg12'
_space_group_name_H-M_alt 'I -4 2 m'
_space_group_IT_number 121
_space_group_name_Hall 'I -4 2'
_cell_length_a 6.6193
_cell_length_b 6.6193
_cell_length_c 14.5649
_cell_angle_alpha 90.00
_cell_angle_beta 90.00
_cell_angle_gamma 90.00
loop_
_atom_site_label
_atom_site_fract_x
_atom_site_fract_y
_atom_site_fract_z
_atom_site_occupancy
Na1 0.2152 0.2152 0.1725 1
Tl1 0.0000 0.0000 0.0000 1
Hg1 0.0000 0.5000 0.0000 1
Hg2 0.1693 0.1693 0.3835 1
```

=====

(5)
Simulated powder XRD pattern
Compound: Ba2AsH
Radiation: Cu Kα, 1.54184 Å
Structure: a structure optimized by DFT (GGA-PBE)

Principal peaks in the range 5° ≤ 2θ ≤ 70°, most intense first:
2θ (°), Rel. int.
27.58, 1000
11.22, 468
31.28, 412
28.26, 327
32.18, 311
30.30, 263
22.55, 258
32.40, 169
24.56, 165
34.00, 157

Structural model:
```
data_Ba2AsH
_chemical_formula_sum 'Ba16 As8 H8'
_space_group_name_H-M_alt 'C m c e'
_space_group_IT_number 64
_space_group_name_Hall '-C 2ac 2'
_cell_length_a 7.6871
_cell_length_b 15.7729
_cell_length_c 9.2056
_cell_angle_alpha 90.00
_cell_angle_beta 90.00
_cell_angle_gamma 90.00
loop_
_atom_site_label
_atom_site_fract_x
_atom_site_fract_y
_atom_site_fract_z
_atom_site_occupancy
Ba1 0.0000 0.1148 0.1295 1
Ba2 0.2500 0.1671 0.7500 1
As1 0.0000 0.1947 0.4454 1
H1 0.0000 0.0563 0.8508 1
```

=====

(6)
Simulated powder XRD pattern
Compound: Gd3InS6
Radiation: Cu Kα, 1.54184 Å
Structure: a structure optimized by DFT (GGA-PBE)

Principal peaks in the range 5° ≤ 2θ ≤ 70°, most intense first:
2θ (°), Rel. int.
25.12, 1000
26.11, 888
34.38, 489
30.98, 407
35.51, 382
46.61, 375
32.14, 370
40.77, 351
44.68, 326
26.90, 284

Structural model:
```
data_Gd3InS6
_chemical_formula_sum 'Gd12 In4 S24'
_space_group_name_H-M_alt 'P 21 21 2'
_space_group_IT_number 18
_cell_length_a 13.6266
_cell_length_b 16.6059
_cell_length_c 3.8971
_cell_angle_alpha 90.00
_cell_angle_beta 90.00
_cell_angle_gamma 90.00
loop_
_space_group_symop_operation_xyz
'x,y,z'
'-x,-y,z'
'x+1/2,-y+1/2,-z'
'-x+1/2,y+1/2,-z'
loop_
_atom_site_label
_atom_site_fract_x
_atom_site_fract_y
_atom_site_fract_z
_atom_site_occupancy
Gd1 0.0389 0.2241 0.2498 1
Gd2 0.1892 0.6451 0.2500 1
Gd3 0.2485 0.8923 0.7494 1
In1 0.0000 0.0000 0.7460 1
In2 0.0000 0.5000 0.7503 1
S1 0.0205 0.3954 0.2502 1
S2 0.0961 0.9135 0.2489 1
S3 0.1113 0.1176 0.7496 1
S4 0.1122 0.7457 0.7498 1
S5 0.1816 0.2864 0.7504 1
S6 0.1922 0.5200 0.7502 1
```

=====

(7)
Simulated powder XRD pattern
Compound: CoHRu
Radiation: Cu Kα, 1.54184 Å
Structure: a structure optimized by DFT (GGA-PBE)

Principal peaks in the range 5° ≤ 2θ ≤ 70°, most intense first:
2θ (°), Rel. int.
35.28, 1000
48.09, 898
41.00, 808
41.64, 792
49.96, 639
50.24, 528
45.31, 508
22.21, 216
17.00, 179
39.50, 125

Structural model:
```
data_CoHRu
_chemical_formula_sum 'Co4 H4 Ru4'
_space_group_name_H-M_alt 'C 1 2/m 1'
_space_group_IT_number 12
_cell_length_a 8.0062
_cell_length_b 2.6828
_cell_length_c 5.2157
_cell_angle_alpha 90.00
_cell_angle_beta 90.93
_cell_angle_gamma 90.00
loop_
_space_group_symop_operation_xyz
'x,y,z'
'-x,-y,-z'
'-x,y,-z'
'x,-y,z'
'x+1/2,y+1/2,z'
'-x+1/2,-y+1/2,-z'
'-x+1/2,y+1/2,-z'
'x+1/2,-y+1/2,z'
loop_
_atom_site_label
_atom_site_fract_x
_atom_site_fract_y
_atom_site_fract_z
_atom_site_occupancy
Co1 0.1461 0.0000 0.3760 1
H1 0.0106 0.5000 0.2733 1
Ru1 0.1420 0.0000 0.8664 1
```

=====

(8)
Simulated powder XRD pattern
Compound: RbNdHgCl6
Radiation: Cu Kα, 1.54184 Å
Structure: a structure optimized by DFT (GGA-PBE)

Principal peaks in the range 5° ≤ 2θ ≤ 70°, most intense first:
2θ (°), Rel. int.
18.86, 1000
35.29, 829
12.23, 560
27.83, 478
24.90, 384
40.50, 292
43.86, 285
31.42, 242
14.30, 180
57.50, 176

Structural model:
```
data_RbNdHgCl6
_chemical_formula_sum 'Rb2 Nd2 Hg2 Cl12'
_space_group_name_H-M_alt 'P -3 1 c'
_space_group_IT_number 163
_space_group_name_Hall '-P 3 2c'
_cell_length_a 7.1512
_cell_length_b 7.1512
_cell_length_c 14.4699
_cell_angle_alpha 90.00
_cell_angle_beta 90.00
_cell_angle_gamma 120.00
loop_
_atom_site_label
_atom_site_fract_x
_atom_site_fract_y
_atom_site_fract_z
_atom_site_occupancy
Rb1 0.0000 0.0000 0.0000 1
Nd1 0.3333 0.6667 0.2500 1
Hg1 0.3333 0.6667 0.7500 1
Cl1 0.0035 0.3781 0.6409 1
```

=====

(9)
Simulated powder XRD pattern
Compound: LaPrZnIn
Radiation: Cu Kα, 1.54184 Å
Structure: a structure optimized by DFT (GGA-PBE)

Principal peaks in the range 5° ≤ 2θ ≤ 70°, most intense first:
2θ (°), Rel. int.
32.86, 1000
58.67, 371
47.16, 180
68.90, 113
23.07, 45
19.95, 22
53.13, 20
40.54, 14
38.74, 12
51.69, 5

Structural model:
```
data_LaPrZnIn
_chemical_formula_sum 'La4 Pr4 Zn4 In4'
_space_group_name_H-M_alt 'F -4 3 m'
_space_group_IT_number 216
_space_group_name_Hall 'F -4 2 3'
_cell_length_a 7.7090
_cell_length_b 7.7090
_cell_length_c 7.7090
_cell_angle_alpha 90.00
_cell_angle_beta 90.00
_cell_angle_gamma 90.00
loop_
_atom_site_label
_atom_site_fract_x
_atom_site_fract_y
_atom_site_fract_z
_atom_site_occupancy
La1 0.0000 0.0000 0.0000 1
Pr1 0.0000 0.0000 0.5000 1
Zn1 0.2500 0.2500 0.2500 1
In1 0.2500 0.2500 0.7500 1
```

=====

(10)
Simulated powder XRD pattern
Compound: MnCdGe2Rh
Radiation: Cu Kα, 1.54184 Å
Structure: a structure optimized by DFT (GGA-PBE)

Principal peaks in the range 5° ≤ 2θ ≤ 70°, most intense first:
2θ (°), Rel. int.
36.83, 1000
25.99, 742
53.45, 661
31.90, 636
37.33, 481
53.07, 338
66.67, 331
45.63, 322
25.81, 227
63.26, 169

Structural model:
```
data_MnCdGe2Rh
_chemical_formula_sum 'Mn1 Cd1 Ge2 Rh1'
_space_group_name_H-M_alt 'P 4/m m m'
_space_group_IT_number 123
_space_group_name_Hall '-P 4 2'
_cell_length_a 4.8812
_cell_length_b 4.8812
_cell_length_c 4.8175
_cell_angle_alpha 90.00
_cell_angle_beta 90.00
_cell_angle_gamma 90.00
loop_
_atom_site_label
_atom_site_fract_x
_atom_site_fract_y
_atom_site_fract_z
_atom_site_occupancy
Mn1 0.0000 0.0000 0.0000 1
Cd1 0.0000 0.0000 0.5000 1
Ge1 0.0000 0.5000 0.5000 1
Rh1 0.5000 0.5000 0.0000 1
```

=====

(11)
Simulated powder XRD pattern
Compound: CsPtI
Radiation: Cu Kα, 1.54184 Å
Structure: a structure optimized by DFT (GGA-PBE)

Principal peaks in the range 5° ≤ 2θ ≤ 70°, most intense first:
2θ (°), Rel. int.
8.01, 1000
16.06, 374
24.19, 320
25.84, 266
32.45, 250
34.57, 211
33.46, 171
33.64, 140
35.89, 124
17.74, 119

Structural model:
```
data_CsPtI
_chemical_formula_sum 'Cs2 Pt2 I2'
_space_group_name_H-M_alt 'P 1'
_space_group_IT_number 1
_cell_length_a 4.2782
_cell_length_b 5.7500
_cell_length_c 11.2456
_cell_angle_alpha 81.88
_cell_angle_beta 80.10
_cell_angle_gamma 69.47
loop_
_space_group_symop_operation_xyz
'x,y,z'
loop_
_atom_site_label
_atom_site_fract_x
_atom_site_fract_y
_atom_site_fract_z
_atom_site_occupancy
Cs1 0.0000 0.0000 0.0000 1
Cs2 0.2292 0.0995 0.4209 1
Pt1 0.0804 0.2828 0.7099 1
Pt2 0.7067 0.0154 0.7099 1
I1 0.5018 0.6386 0.7117 1
I2 0.6149 0.5478 0.2101 1
```

=====

(12)
Simulated powder XRD pattern
Compound: AsIr
Radiation: Cu Kα, 1.54184 Å
Structure: a structure optimized by DFT (GGA-PBE)

Principal peaks in the range 5° ≤ 2θ ≤ 70°, most intense first:
2θ (°), Rel. int.
46.79, 1000
47.48, 829
35.98, 819
46.25, 717
26.91, 700
31.71, 686
21.05, 547
33.50, 528
39.90, 467
44.17, 357

Structural model:
```
data_AsIr
_chemical_formula_sum 'As4 Ir4'
_space_group_name_H-M_alt 'C m c 21'
_space_group_IT_number 36
_cell_length_a 2.9945
_cell_length_b 8.4412
_cell_length_c 5.3506
_cell_angle_alpha 90.00
_cell_angle_beta 90.00
_cell_angle_gamma 90.00
loop_
_space_group_symop_operation_xyz
'x,y,z'
'-x,-y,z+1/2'
'-x,y,z'
'x,-y,z+1/2'
'x+1/2,y+1/2,z'
'-x+1/2,-y+1/2,z+1/2'
'-x+1/2,y+1/2,z'
'x+1/2,-y+1/2,z+1/2'
loop_
_atom_site_label
_atom_site_fract_x
_atom_site_fract_y
_atom_site_fract_z
_atom_site_occupancy
As1 0.0000 0.1597 0.0000 1
Ir1 0.0000 0.4381 0.8465 1
```